Entry 1:
Diffraction record for Sr2In12Cu7. The powder diffractogram is theoretical, not measured: it uses a cell relaxed with GGA-PBE and a wavelength of 1.5418 Å.
Peak positions follow from Bragg's law for the DFT cell and can differ from measured ones.

Most intense lines, 5 to 70 degrees two-theta, low angle first:
2θ 32.1, rel. 100
2θ 39.7, rel. 25
2θ 40.9, rel. 22
2θ 41.3, rel. 18
2θ 43.5, rel. 22
2θ 68.9, rel. 15

Structural model:
Unit cell a=11.002 b=11.002 c=4.417 alpha=90.00 beta=90.00 gamma=120.00
Atoms (fractional coordinates):
Sr1 0.333 0.667 0.258
Sr2 0.667 0.333 0.742
In1 0.057 0.440 0.750
In2 0.117 0.262 0.250
In3 0.145 0.883 0.250
In4 0.262 0.145 0.750
In5 0.383 0.943 0.750
In6 0.440 0.383 0.250
In7 0.560 0.617 0.750
In8 0.617 0.057 0.250
In9 0.738 0.855 0.250
In10 0.855 0.117 0.750
In11 0.883 0.738 0.750
In12 0.943 0.560 0.250
Cu1 0.000 0.000 0.500
Cu2 0.119 0.710 0.758
Cu3 0.290 0.409 0.758
Cu4 0.409 0.119 0.242
Cu5 0.591 0.881 0.758
Cu6 0.710 0.591 0.242
Cu7 0.881 0.290 0.242

Entry 2:
Diffraction record for SrIn2Cu4. The powder diffractogram is theoretical, not measured: it uses a cell relaxed with GGA-PBE and a wavelength of 1.5418 Å.
Peak positions follow from Bragg's law for the DFT cell and can differ from measured ones.

Most intense lines, 5 to 70 degrees two-theta, low angle first:
2θ 15.3, rel. 23
2θ 31.3, rel. 37
2θ 34.7, rel. 74
2θ 41.9, rel. 100
2θ 44.3, rel. 13
2θ 47.2, rel. 28

Structural model:
Unit cell a=7.032 b=7.032 c=7.032 alpha=108.91 beta=108.91 gamma=110.60
Atoms (fractional coordinates):
Sr1 0.250 0.250 0.000
Sr2 0.750 0.750 0.000
In1 0.171 0.671 0.841
In2 0.329 0.171 0.500
In3 0.671 0.829 0.500
In4 0.829 0.329 0.159
Cu1 0.032 0.786 0.500
Cu2 0.214 0.714 0.246
Cu3 0.286 0.532 0.500
Cu4 0.468 0.968 0.754
Cu5 0.532 0.032 0.246
Cu6 0.714 0.468 0.500
Cu7 0.786 0.286 0.754
Cu8 0.968 0.214 0.500

Entry 3:
Diffraction record for Sr3In8Cu3. The powder diffractogram is theoretical, not measured: it uses a cell relaxed with GGA-PBE and a wavelength of 1.5418 Å.
Peak positions follow from Bragg's law for the DFT cell and can differ from measured ones.

Most intense lines, 5 to 70 degrees two-theta, low angle first:
2θ 31.6, rel. 100
2θ 31.7, rel. 55
2θ 31.9, rel. 89
2θ 35.2, rel. 65
2θ 36.3, rel. 99
2θ 41.6, rel. 57

Structural model:
Unit cell a=9.068 b=9.068 c=9.772 alpha=122.34 beta=122.34 gamma=31.70
Atoms (fractional coordinates):
Sr1 0.000 0.000 0.000
Sr2 0.286 0.286 0.286
Sr3 0.714 0.714 0.714
In1 0.137 0.137 0.435
In2 0.151 0.151 0.868
In3 0.349 0.349 0.733
In4 0.493 0.493 0.327
In5 0.507 0.507 0.673
In6 0.651 0.651 0.267
In7 0.849 0.849 0.132
In8 0.863 0.863 0.565
Cu1 0.000 0.000 0.500
Cu2 0.347 0.347 0.003
Cu3 0.653 0.653 0.997

Entry 4:
Diffraction record for SrIn6Cu7. The powder diffractogram is theoretical, not measured: it uses a cell relaxed with GGA-PBE and a wavelength of 1.5418 Å.
Peak positions follow from Bragg's law for the DFT cell and can differ from measured ones.

Most intense lines, 5 to 70 degrees two-theta, low angle first:
2θ 31.3, rel. 50
2θ 34.4, rel. 89
2θ 41.8, rel. 44
2θ 41.9, rel. 100
2θ 42.4, rel. 31
2θ 42.5, rel. 30

Structural model:
Unit cell a=9.041 b=9.041 c=12.748 alpha=90.00 beta=90.00 gamma=89.83
Atoms (fractional coordinates):
Sr1 0.248 0.248 0.000
Sr2 0.248 0.248 0.500
Sr3 0.752 0.752 0.000
Sr4 0.752 0.752 0.500
In1 0.052 0.220 0.750
In2 0.060 0.940 0.614
In3 0.060 0.940 0.886
In4 0.110 0.613 0.563
In5 0.110 0.613 0.937
In6 0.220 0.052 0.250
In7 0.317 0.401 0.250
In8 0.387 0.890 0.563
In9 0.387 0.890 0.937
In10 0.389 0.611 0.069
In11 0.389 0.611 0.431
In12 0.401 0.317 0.750
In13 0.599 0.683 0.250
In14 0.611 0.389 0.569
In15 0.611 0.389 0.931
In16 0.613 0.110 0.063
In17 0.613 0.110 0.437
In18 0.683 0.599 0.750
In19 0.780 0.948 0.750
In20 0.890 0.387 0.063
In21 0.890 0.387 0.437
In22 0.940 0.060 0.114
In23 0.940 0.060 0.386
In24 0.948 0.780 0.250
Cu1 0.040 0.301 0.250
Cu2 0.097 0.561 0.147
Cu3 0.097 0.561 0.353
Cu4 0.152 0.848 0.082
Cu5 0.152 0.848 0.418
Cu6 0.166 0.493 0.750
Cu7 0.235 0.765 0.750
Cu8 0.260 0.740 0.250
Cu9 0.301 0.040 0.750
Cu10 0.408 0.592 0.646
Cu11 0.408 0.592 0.854
Cu12 0.439 0.903 0.147
Cu13 0.439 0.903 0.353
Cu14 0.493 0.166 0.250
Cu15 0.507 0.834 0.750
Cu16 0.561 0.097 0.647
Cu17 0.561 0.097 0.853
Cu18 0.592 0.408 0.146
Cu19 0.592 0.408 0.354
Cu20 0.699 0.960 0.250
Cu21 0.740 0.260 0.750
Cu22 0.765 0.235 0.250
Cu23 0.834 0.507 0.250
Cu24 0.848 0.152 0.582
Cu25 0.848 0.152 0.918
Cu26 0.903 0.439 0.647
Cu27 0.903 0.439 0.853
Cu28 0.960 0.699 0.750

Entry 5:
Diffraction record for Tb2In3Cu. The powder diffractogram is theoretical, not measured: it uses a cell relaxed with GGA-PBE and a wavelength of 1.5418 Å.
Peak positions follow from Bragg's law for the DFT cell and can differ from measured ones.

Most intense lines, 5 to 70 degrees two-theta, low angle first:
2θ 32.4, rel. 100
2θ 37.9, rel. 73
2θ 42.4, rel. 17
2θ 50.7, rel. 28
2θ 65.1, rel. 26
2θ 68.6, rel. 12

Structural model:
Unit cell a=4.742 b=4.742 c=7.482 alpha=90.00 beta=90.00 gamma=120.00
Atoms (fractional coordinates):
Tb1 0.000 0.000 0.000
Tb2 0.000 0.000 0.461
In1 0.333 0.667 0.220
In2 0.333 0.667 0.788
In3 0.667 0.333 0.672
Cu1 0.667 0.333 0.282

Entry 6:
Diffraction record for Tb2In3Cu. The powder diffractogram is theoretical, not measured: it uses a cell relaxed with GGA-PBE and a wavelength of 1.5418 Å.
Peak positions follow from Bragg's law for the DFT cell and can differ from measured ones.

Most intense lines, 5 to 70 degrees two-theta, low angle first:
2θ 32.8, rel. 100
2θ 37.5, rel. 43
2θ 37.7, rel. 22
2θ 50.2, rel. 10
2θ 50.8, rel. 19
2θ 64.3, rel. 17

Structural model:
Unit cell a=3.632 b=4.771 c=8.324 alpha=90.00 beta=90.00 gamma=90.00
Atoms (fractional coordinates):
Tb1 0.000 0.000 0.000
Tb2 0.000 0.500 0.478
In1 0.500 0.000 0.632
In2 0.500 0.500 0.169
In3 0.500 0.500 0.823
Cu1 0.500 0.000 0.313

Entry 7:
Diffraction record for Tb2In8Cu. The powder diffractogram is theoretical, not measured: it uses a cell relaxed with GGA-PBE and a wavelength of 1.5418 Å.
Peak positions follow from Bragg's law for the DFT cell and can differ from measured ones.

Most intense lines, 5 to 70 degrees two-theta, low angle first:
2θ 30.7, rel. 36
2θ 34.9, rel. 100
2θ 36.8, rel. 18
2θ 38.4, rel. 53
2θ 54.3, rel. 23
2θ 67.3, rel. 28

Structural model:
Unit cell a=4.685 b=4.685 c=12.202 alpha=90.00 beta=90.00 gamma=90.00
Atoms (fractional coordinates):
Tb1 0.000 0.000 0.191
Tb2 0.000 0.000 0.809
In1 0.000 0.500 0.000
In2 0.000 0.500 0.375
In3 0.000 0.500 0.625
In4 0.500 0.000 0.000
In5 0.500 0.000 0.375
In6 0.500 0.000 0.625
In7 0.500 0.500 0.192
In8 0.500 0.500 0.808
Cu1 0.000 0.000 0.500

Entry 8:
Diffraction record for TbIn6Cu6. The powder diffractogram is theoretical, not measured: it uses a cell relaxed with GGA-PBE and a wavelength of 1.5418 Å.
Peak positions follow from Bragg's law for the DFT cell and can differ from measured ones.

Most intense lines, 5 to 70 degrees two-theta, low angle first:
2θ 32.6, rel. 32
2θ 33.3, rel. 58
2θ 38.1, rel. 60
2θ 38.8, rel. 100
2θ 39.1, rel. 30
2θ 43.0, rel. 42

Structural model:
Unit cell a=7.090 b=7.090 c=7.090 alpha=134.46 beta=98.82 gamma=98.40
Atoms (fractional coordinates):
Tb1 0.000 0.000 0.000
In1 0.183 0.683 0.500
In2 0.337 0.000 0.337
In3 0.342 0.342 0.000
In4 0.658 0.658 0.000
In5 0.663 0.000 0.663
In6 0.817 0.317 0.500
Cu1 0.000 0.000 0.500
Cu2 0.000 0.500 0.000
Cu3 0.236 0.500 0.736
Cu4 0.500 0.000 0.000
Cu5 0.500 0.500 0.500
Cu6 0.764 0.500 0.264

What did the seventh record say?
Diffraction record for Tb2In8Cu. The powder diffractogram is theoretical, not measured: it uses a cell relaxed with GGA-PBE and a wavelength of 1.5418 Å.
Peak positions follow from Bragg's law for the DFT cell and can differ from measured ones.

Most intense lines, 5 to 70 degrees two-theta, low angle first:
2θ 30.7, rel. 36
2θ 34.9, rel. 100
2θ 36.8, rel. 18
2θ 38.4, rel. 53
2θ 54.3, rel. 23
2θ 67.3, rel. 28

Structural model:
Unit cell a=4.685 b=4.685 c=12.202 alpha=90.00 beta=90.00 gamma=90.00
Atoms (fractional coordinates):
Tb1 0.000 0.000 0.191
Tb2 0.000 0.000 0.809
In1 0.000 0.500 0.000
In2 0.000 0.500 0.375
In3 0.000 0.500 0.625
In4 0.500 0.000 0.000
In5 0.500 0.000 0.375
In6 0.500 0.000 0.625
In7 0.500 0.500 0.192
In8 0.500 0.500 0.808
Cu1 0.000 0.000 0.500